1.
As2PPb2: theoretical PXRD pattern (Cu Kα X-rays), based on DFT lattice parameters and positions (PBE).
Intensities are scaled so that the largest is 1000.

Structural model:
Lattice parameters (Å, degrees): 6.764 6.764 5.476 90.00 90.00 90.00
Atoms (fractional coordinates):
As 0.133 0.367 0.000
As 0.367 0.867 0.000
As 0.633 0.133 0.000
As 0.867 0.633 0.000
P 0.000 0.000 0.000
P 0.500 0.500 0.000
Pb 0.239 0.739 0.500
Pb 0.261 0.239 0.500
Pb 0.739 0.761 0.500
Pb 0.761 0.261 0.500

Peak list (6 most intense, 15° ≤ 2θ ≤ 90°, in order of rising 2θ)
- 2θ = 26.35°, d 3.382, I 637
- 2θ = 31.08°, d 2.877, I 1000
- 2θ = 32.71°, d 2.738, I 438
- 2θ = 37.61°, d 2.391, I 320
- 2θ = 41.19°, d 2.191, I 366
- 2θ = 42.48°, d 2.128, I 373

---

2.
AsP2Pd7: theoretical PXRD pattern (Cu Kα X-rays), based on DFT lattice parameters and positions (PBE).
Intensities are scaled so that the largest is 1000.

Structural model:
Lattice parameters (Å, degrees): 10.231 10.231 10.231 157.56 157.56 31.95
Atoms (fractional coordinates):
As 0.000 0.000 0.000
P 0.328 0.328 0.000
P 0.672 0.672 0.000
Pd 0.105 0.605 0.500
Pd 0.250 0.750 0.500
Pd 0.395 0.895 0.500
Pd 0.500 0.500 0.000
Pd 0.605 0.105 0.500
Pd 0.750 0.250 0.500
Pd 0.895 0.395 0.500

Peak list (6 most intense, 15° ≤ 2θ ≤ 90°, in order of rising 2θ)
- 2θ = 31.78°, d 2.816, I 316
- 2θ = 33.09°, d 2.707, I 239
- 2θ = 36.78°, d 2.444, I 281
- 2θ = 42.31°, d 2.136, I 1000
- 2θ = 45.56°, d 1.991, I 567
- 2θ = 81.96°, d 1.176, I 282

---

3.
AsPPd4: theoretical PXRD pattern (Cu Kα X-rays), based on DFT lattice parameters and positions (PBE).
Intensities are scaled so that the largest is 1000.

Structural model:
Lattice parameters (Å, degrees): 6.527 3.540 15.949 90.00 90.00 90.00
Atoms (fractional coordinates):
As 0.237 0.250 0.195
As 0.263 0.750 0.695
As 0.737 0.250 0.305
As 0.763 0.750 0.805
P 0.245 0.750 0.442
P 0.255 0.250 0.942
P 0.745 0.750 0.058
P 0.755 0.250 0.558
Pd 0.007 0.250 0.069
Pd 0.065 0.250 0.788
Pd 0.107 0.250 0.349
Pd 0.136 0.250 0.543
Pd 0.364 0.750 0.043
Pd 0.393 0.750 0.849
Pd 0.435 0.750 0.288
Pd 0.493 0.750 0.569
Pd 0.507 0.250 0.431
Pd 0.565 0.250 0.712
Pd 0.607 0.250 0.151
Pd 0.636 0.250 0.957
Pd 0.864 0.750 0.457
Pd 0.893 0.750 0.651
Pd 0.935 0.750 0.212
Pd 0.993 0.750 0.931

Peak list (6 most intense, 15° ≤ 2θ ≤ 90°, in order of rising 2θ)
- 2θ = 36.63°, d 2.453, I 1000
- 2θ = 37.48°, d 2.399, I 519
- 2θ = 41.28°, d 2.187, I 478
- 2θ = 41.97°, d 2.153, I 460
- 2θ = 47.62°, d 1.910, I 260
- 2θ = 51.64°, d 1.770, I 304